Entry 1:
Simulated powder X-ray diffraction pattern
Compound: Li2Ni3SbO8
Radiation: Cu Kα (weighted mean of Kα1 and Kα2)
Structure: a PBE+U-relaxed structure
Lines closer than 0.1° are merged.

Most intense lines, 5 to 70 degrees two-theta, in order of falling intensity:
2θ = 18.4°, intensity 100; 2θ = 35.6°, intensity 51; 2θ = 43.3°, intensity 51; 2θ = 62.9°, intensity 31; 2θ = 37.3°, intensity 21; 2θ = 57.3°, intensity 21; 2θ = 66.1°, intensity 16; 2θ = 47.4°, intensity 14; 2θ = 23.8°, intensity 7; 2θ = 15.0°, intensity 6

Atomic structure:
Unit cell a=8.361 b=8.361 c=8.361 alpha=90.00 beta=90.00 gamma=90.00
Atoms (fractional coordinates):
1 Li 0.001 0.499 0.501
2 Li 0.249 0.749 0.751
3 Li 0.251 0.251 0.251
4 Li 0.499 0.501 0.001
5 Li 0.501 0.001 0.499
6 Li 0.749 0.751 0.249
7 Li 0.751 0.249 0.749
8 Li 0.999 0.999 0.999
9 Ni 0.123 0.127 0.625
10 Ni 0.125 0.377 0.873
11 Ni 0.127 0.625 0.123
12 Ni 0.373 0.375 0.623
13 Ni 0.375 0.623 0.373
14 Ni 0.377 0.873 0.125
15 Ni 0.623 0.373 0.375
16 Ni 0.625 0.123 0.127
17 Ni 0.627 0.875 0.877
18 Ni 0.873 0.125 0.377
19 Ni 0.875 0.877 0.627
20 Ni 0.877 0.627 0.875
21 Sb 0.125 0.875 0.375
22 Sb 0.375 0.125 0.875
23 Sb 0.625 0.625 0.625
24 Sb 0.875 0.375 0.125
25 O 0.106 0.115 0.380
26 O 0.109 0.609 0.891
27 O 0.115 0.380 0.106
28 O 0.120 0.894 0.615
29 O 0.130 0.635 0.356
30 O 0.135 0.144 0.870
31 O 0.141 0.359 0.641
32 O 0.144 0.870 0.135
33 O 0.356 0.130 0.635
34 O 0.359 0.641 0.141
35 O 0.365 0.856 0.370
36 O 0.370 0.365 0.856
37 O 0.380 0.106 0.115
38 O 0.385 0.620 0.606
39 O 0.391 0.391 0.391
40 O 0.394 0.885 0.880
41 O 0.606 0.385 0.620
42 O 0.609 0.891 0.109
43 O 0.615 0.120 0.894
44 O 0.620 0.606 0.385
45 O 0.630 0.865 0.644
46 O 0.635 0.356 0.130
47 O 0.641 0.141 0.359
48 O 0.644 0.630 0.865
49 O 0.856 0.370 0.365
50 O 0.859 0.859 0.859
51 O 0.865 0.644 0.630
52 O 0.870 0.135 0.144
53 O 0.880 0.394 0.885
54 O 0.885 0.880 0.394
55 O 0.891 0.109 0.609
56 O 0.894 0.615 0.120

***

Entry 2:
Simulated powder X-ray diffraction pattern
Compound: BaZnW4O8
Radiation: Cu Kα (weighted mean of Kα1 and Kα2)
Structure: a PBE+U-relaxed structure
Lines closer than 0.1° are merged.

Most intense lines, 5 to 70 degrees two-theta, in order of falling intensity:
2θ = 31.0°, intensity 100; 2θ = 30.3°, intensity 65; 2θ = 54.8°, intensity 27; 2θ = 43.9°, intensity 27; 2θ = 55.2°, intensity 25; 2θ = 39.8°, intensity 20; 2θ = 59.9°, intensity 20; 2θ = 24.3°, intensity 18; 2θ = 48.9°, intensity 15; 2θ = 64.7°, intensity 13

Atomic structure:
Unit cell a=5.762 b=5.762 c=7.320 alpha=90.00 beta=90.00 gamma=120.00
Atoms (fractional coordinates):
1 Ba 0.000 0.000 0.000
2 Zn 0.000 0.000 0.500
3 W 0.333 0.667 0.283
4 W 0.333 0.667 0.717
5 W 0.667 0.333 0.283
6 W 0.667 0.333 0.717
7 O 0.000 0.292 0.314
8 O 0.000 0.708 0.686
9 O 0.292 0.000 0.314
10 O 0.292 0.292 0.686
11 O 0.333 0.667 0.000
12 O 0.667 0.333 0.000
13 O 0.708 0.000 0.686
14 O 0.708 0.708 0.314

***

Entry 3:
Simulated powder X-ray diffraction pattern
Compound: Li3V2P3O12
Radiation: Cu Kα (weighted mean of Kα1 and Kα2)
Structure: a PBE+U-relaxed structure
Lines closer than 0.1° are merged.

Most intense lines, 5 to 70 degrees two-theta, in order of falling intensity:
2θ = 16.5°, intensity 100; 2θ = 29.1°, intensity 60; 2θ = 33.0°, intensity 44; 2θ = 14.1°, intensity 37; 2θ = 15.7°, intensity 34; 2θ = 32.4°, intensity 33; 2θ = 25.5°, intensity 26; 2θ = 35.6°, intensity 20; 2θ = 25.8°, intensity 20; 2θ = 31.5°, intensity 16

Atomic structure:
Unit cell a=8.604 b=8.604 c=6.386 alpha=105.97 beta=105.97 gamma=93.77
Atoms (fractional coordinates):
1 Li 0.000 0.000 0.000
2 Li 0.000 0.000 0.500
3 Li 0.214 0.786 0.750
4 Li 0.491 0.509 0.250
5 Li 0.509 0.491 0.750
6 Li 0.786 0.214 0.250
7 V 0.120 0.443 0.857
8 V 0.443 0.120 0.357
9 V 0.557 0.880 0.643
10 V 0.880 0.557 0.143
11 P 0.161 0.363 0.363
12 P 0.216 0.784 0.250
13 P 0.363 0.161 0.863
14 P 0.637 0.839 0.137
15 P 0.784 0.216 0.750
16 P 0.839 0.637 0.637
17 O 0.039 0.762 0.267
18 O 0.045 0.204 0.297
19 O 0.100 0.449 0.171
20 O 0.159 0.488 0.589
21 O 0.204 0.045 0.797
22 O 0.238 0.961 0.233
23 O 0.244 0.670 0.033
24 O 0.330 0.756 0.467
25 O 0.342 0.345 0.890
26 O 0.345 0.342 0.390
27 O 0.449 0.100 0.671
28 O 0.488 0.159 0.089
29 O 0.512 0.841 0.911
30 O 0.551 0.900 0.329
31 O 0.655 0.658 0.610
32 O 0.658 0.655 0.110
33 O 0.670 0.244 0.533
34 O 0.756 0.330 0.967
35 O 0.762 0.039 0.767
36 O 0.796 0.955 0.203
37 O 0.841 0.512 0.411
38 O 0.900 0.551 0.829
39 O 0.955 0.796 0.703
40 O 0.961 0.238 0.733